Structure and simulated powder diffraction line list of La7Nd2Er3 (the GGA-PBE geometry in Alexandria; CuKα).

Principal peaks in the range 2θ = 15–90°, in order of rising 2θ:
d (Å)	2θ (°)	I/Imax
3.080	28.99	58.8
2.981	29.97	87.2
2.960	30.19	96.2
2.929	30.52	100.0
2.749	32.57	68.1
2.629	34.10	90.6

Cell and atoms:
```
data_La7Nd2Er3
_cell_length_a 6.5592
_cell_length_b 3.6013
_cell_length_c 17.8410
_cell_angle_alpha 90.00
_cell_angle_beta 95.50
_cell_angle_gamma 90.00
_space_group_name_H-M_alt 'P 1 2/m 1'
_space_group_IT_number 10
_space_group_name_Hall '-P 2y'
loop_
_atom_site_label
_atom_site_type_symbol
_atom_site_fract_x
_atom_site_fract_y
_atom_site_fract_z
_atom_site_occupancy
La1 La 0.0000 0.0000 0.0000 1
La2 La 0.2288 0.5000 0.1720 1
La3 La 0.2624 0.5000 0.4908 1
La4 La 0.2819 0.0000 0.8348 1
Nd1 Nd 0.0599 0.5000 0.6700 1
Er1 Er 0.4573 0.0000 0.3385 1
Er2 Er 0.5000 0.5000 0.0000 1
```